1.
Structure and calculated XRD peak list of Dy3Fe2Si7 (a crystal structure in the Materials Project, relaxed with PBE; copper Kα).
No peak broadening, texture or thermal motion is included.

Crystal structure
```
Dy3Fe2Si7
1.0
4.088 0.000 0.000
0.000 2.016 12.239
0.000 -2.016 12.239
Dy Fe Si
3 2 7
direct
0.000 0.000 0.000
0.000 0.369 0.369
0.500 0.685 0.685
0.500 0.557 0.557
0.500 0.811 0.811
0.000 0.178 0.178
0.000 0.595 0.595
0.000 0.773 0.773
0.500 0.095 0.095
0.500 0.273 0.273
0.500 0.464 0.464
0.500 0.904 0.904
```

Main lines, in order of rising 2θ (2θ = 10–80°):
- d = 3.877 Å, intensity 44.8
- d = 3.614 Å, intensity 43.8
- d = 2.851 Å, intensity 48.0
- d = 2.476 Å, intensity 100.0
- d = 2.449 Å, intensity 69.3
- d = 2.044 Å, intensity 32.0
- d = 2.016 Å, intensity 28.8
- d = 1.556 Å, intensity 33.8

2.
Structure and calculated XRD peak list of SmDyFe4 (a crystal structure in the Materials Project, relaxed with PBE; copper Kα).
No peak broadening, texture or thermal motion is included.

Crystal structure
```
SmDyFe4
1.0
0.000 3.660 3.660
3.660 0.000 3.660
3.660 3.660 0.000
Sm Dy Fe
1 1 4
direct
0.000 0.000 0.000
0.750 0.750 0.750
0.375 0.375 0.375
0.375 0.375 0.875
0.375 0.875 0.375
0.875 0.375 0.375
```

Main lines, in order of rising 2θ (2θ = 10–80°):
- d = 4.226 Å, intensity 15.7
- d = 2.588 Å, intensity 66.8
- d = 2.207 Å, intensity 100.0
- d = 2.113 Å, intensity 14.1
- d = 1.679 Å, intensity 4.3
- d = 1.494 Å, intensity 24.8
- d = 1.409 Å, intensity 30.5
- d = 1.294 Å, intensity 22.1

3.
Structure and calculated XRD peak list of Dy6FeTe2 (a crystal structure in the Materials Project, relaxed with PBE; copper Kα).
No peak broadening, texture or thermal motion is included.

Crystal structure
```
Dy6FeTe2
1.0
8.329 0.000 0.000
-4.164 7.213 0.000
0.000 0.000 3.975
Dy Fe Te
6 1 2
direct
0.000 0.235 0.000
0.000 0.603 0.500
0.235 0.000 0.000
0.397 0.397 0.500
0.603 0.000 0.500
0.765 0.765 0.000
0.000 0.000 0.500
0.333 0.667 0.000
0.667 0.333 0.000
```

Main lines, in order of rising 2θ (2θ = 10–80°):
- d = 2.875 Å, intensity 100.0
- d = 2.726 Å, intensity 68.4
- d = 2.671 Å, intensity 58.7
- d = 2.404 Å, intensity 27.4
- d = 2.248 Å, intensity 28.5
- d = 1.988 Å, intensity 19.4
- d = 1.606 Å, intensity 28.2
- d = 1.528 Å, intensity 24.5

4.
Structure and calculated XRD peak list of DyTiFe11 (a crystal structure in the Materials Project, relaxed with PBE; copper Kα).
No peak broadening, texture or thermal motion is included.

Crystal structure
```
DyTiFe11
1.0
-2.360 4.250 4.223
2.360 -4.250 4.223
2.360 4.250 -4.223
Dy Ti Fe
1 1 11
direct
0.000 0.000 0.000
0.626 0.626 0.000
0.215 0.493 0.722
0.222 0.722 0.500
0.348 0.348 0.000
0.351 0.994 0.357
0.494 0.494 0.498
0.494 0.996 0.000
0.637 0.994 0.643
0.770 0.270 0.500
0.771 0.493 0.278
0.996 0.494 0.000
0.996 0.996 0.502
```

Main lines, in order of rising 2θ (2θ = 10–80°):
- d = 2.955 Å, intensity 41.2
- d = 2.429 Å, intensity 23.6
- d = 2.418 Å, intensity 21.4
- d = 2.125 Å, intensity 28.9
- d = 2.111 Å, intensity 31.1
- d = 2.104 Å, intensity 100.0
- d = 2.062 Å, intensity 69.5
- d = 1.854 Å, intensity 23.2

5.
Structure and calculated XRD peak list of DyV2Fe10 (a crystal structure in the Materials Project, relaxed with PBE; copper Kα).
No peak broadening, texture or thermal motion is included.

Crystal structure
```
DyV2Fe10
1.0
-2.341 4.210 4.248
2.341 -4.210 4.248
2.341 4.210 -4.248
Dy V Fe
1 2 10
direct
0.000 0.000 0.000
0.359 0.359 0.000
0.641 0.641 0.000
0.000 0.000 0.500
0.000 0.500 0.000
0.225 0.500 0.725
0.227 0.727 0.500
0.359 0.000 0.359
0.500 0.000 0.000
0.500 0.500 0.500
0.641 0.000 0.641
0.773 0.273 0.500
0.775 0.500 0.275
```

Main lines, in order of rising 2θ (2θ = 10–80°):
- d = 2.937 Å, intensity 34.0
- d = 2.423 Å, intensity 31.1
- d = 2.124 Å, intensity 48.2
- d = 2.105 Å, intensity 41.1
- d = 2.100 Å, intensity 67.9
- d = 2.094 Å, intensity 76.1
- d = 2.048 Å, intensity 100.0
- d = 1.843 Å, intensity 33.6

6.
Structure and calculated XRD peak list of DyGa3 (a crystal structure in the Materials Project, relaxed with PBE; copper Kα).
No peak broadening, texture or thermal motion is included.

Crystal structure
```
DyGa3
1.0
6.193 0.000 0.000
-3.097 5.364 0.000
0.000 0.000 23.525
Dy Ga
10 30
direct
0.000 0.000 0.250
0.000 0.000 0.750
0.333 0.667 0.045
0.333 0.667 0.455
0.333 0.667 0.649
0.333 0.667 0.851
0.667 0.333 0.149
0.667 0.333 0.351
0.667 0.333 0.545
0.667 0.333 0.955
0.035 0.518 0.250
0.146 0.291 0.551
0.146 0.291 0.949
0.146 0.854 0.551
0.146 0.854 0.949
0.170 0.341 0.149
0.170 0.341 0.351
0.170 0.830 0.149
0.170 0.830 0.351
0.291 0.146 0.051
0.291 0.146 0.449
0.341 0.170 0.649
0.341 0.170 0.851
0.482 0.518 0.250
0.482 0.965 0.250
0.518 0.035 0.750
0.518 0.482 0.750
0.659 0.830 0.149
0.659 0.830 0.351
0.709 0.854 0.551
0.709 0.854 0.949
0.830 0.170 0.649
0.830 0.170 0.851
0.830 0.659 0.649
0.830 0.659 0.851
0.854 0.146 0.051
0.854 0.146 0.449
0.854 0.709 0.051
0.854 0.709 0.449
0.965 0.482 0.750
```

Main lines, in order of rising 2θ (2θ = 10–80°):
- d = 3.537 Å, intensity 23.5
- d = 2.615 Å, intensity 25.8
- d = 2.440 Å, intensity 21.3
- d = 2.352 Å, intensity 36.7
- d = 2.330 Å, intensity 100.0
- d = 2.214 Å, intensity 17.4
- d = 1.548 Å, intensity 26.2
- d = 1.293 Å, intensity 27.8

7.
Structure and calculated XRD peak list of DyGa3 (a crystal structure in the Materials Project, relaxed with PBE; copper Kα).
No peak broadening, texture or thermal motion is included.

Crystal structure
```
DyGa3
1.0
6.269 0.000 0.000
-3.135 5.429 0.000
0.000 0.000 4.581
Dy Ga
2 6
direct
0.333 0.667 0.250
0.667 0.333 0.750
0.149 0.297 0.750
0.149 0.851 0.750
0.297 0.149 0.250
0.703 0.851 0.750
0.851 0.149 0.250
0.851 0.703 0.250
```

Main lines, in order of rising 2θ (2θ = 10–80°):
- d = 3.501 Å, intensity 23.6
- d = 2.715 Å, intensity 25.2
- d = 2.335 Å, intensity 100.0
- d = 2.291 Å, intensity 22.2
- d = 1.751 Å, intensity 13.6
- d = 1.567 Å, intensity 16.8
- d = 1.331 Å, intensity 16.2
- d = 1.294 Å, intensity 17.4

8.
Structure and calculated XRD peak list of Dy5Ga3 (a crystal structure in the Materials Project, relaxed with PBE; copper Kα).
No peak broadening, texture or thermal motion is included.

Crystal structure
```
Dy5Ga3
1.0
-3.817 3.817 7.103
3.817 -3.817 7.103
3.817 3.817 -7.103
Dy Ga
10 6
direct
0.000 0.000 0.000
0.023 0.523 0.840
0.183 0.023 0.500
0.317 0.817 0.840
0.477 0.317 0.500
0.500 0.500 0.000
0.523 0.683 0.500
0.683 0.183 0.160
0.817 0.977 0.500
0.977 0.477 0.160
0.122 0.378 0.500
0.250 0.250 0.000
0.378 0.878 0.256
0.622 0.122 0.744
0.750 0.750 0.000
0.878 0.622 0.500
```

Main lines, in order of rising 2θ (2θ = 10–80°):
- d = 3.320 Å, intensity 18.1
- d = 2.967 Å, intensity 16.3
- d = 2.770 Å, intensity 100.0
- d = 2.699 Å, intensity 13.8
- d = 2.600 Å, intensity 39.9
- d = 2.414 Å, intensity 43.2
- d = 1.725 Å, intensity 18.3
- d = 1.605 Å, intensity 16.6

9.
Structure and calculated XRD peak list of DyGa2 (a crystal structure in the Materials Project, relaxed with PBE; copper Kα).
No peak broadening, texture or thermal motion is included.

Crystal structure
```
DyGa2
1.0
4.225 0.000 0.000
-2.112 3.659 0.000
0.000 0.000 4.109
Dy Ga
1 2
direct
0.000 0.000 0.000
0.333 0.667 0.500
0.667 0.333 0.500
```

Main lines, in order of rising 2θ (2θ = 10–80°):
- d = 3.659 Å, intensity 14.5
- d = 2.732 Å, intensity 100.0
- d = 2.112 Å, intensity 41.3
- d = 2.054 Å, intensity 12.7
- d = 1.671 Å, intensity 22.9
- d = 1.473 Å, intensity 25.7
- d = 1.311 Å, intensity 20.2
- d = 1.283 Å, intensity 9.4

10.
Structure and calculated XRD peak list of DyGa3 (a crystal structure in the Materials Project, relaxed with PBE; copper Kα).
No peak broadening, texture or thermal motion is included.

Crystal structure
```
DyGa3
1.0
4.271 0.000 0.000
0.000 4.271 0.000
0.000 0.000 4.271
Dy Ga
1 3
direct
0.000 0.000 0.000
0.000 0.500 0.500
0.500 0.000 0.500
0.500 0.500 0.000
```

Main lines, in order of rising 2θ (2θ = 10–80°):
- d = 4.271 Å, intensity 15.8
- d = 3.020 Å, intensity 13.3
- d = 2.466 Å, intensity 100.0
- d = 2.135 Å, intensity 49.2
- d = 1.910 Å, intensity 7.4
- d = 1.510 Å, intensity 32.1
- d = 1.288 Å, intensity 37.2
- d = 1.233 Å, intensity 10.8

11.
Structure and calculated XRD peak list of DyGa (a crystal structure in the Materials Project, relaxed with PBE; copper Kα).
No peak broadening, texture or thermal motion is included.

Crystal structure
```
DyGa
1.0
4.397 0.000 0.000
0.000 10.923 0.000
0.000 0.000 4.030
Dy Ga
4 4
direct
0.000 0.140 0.250
0.000 0.860 0.750
0.500 0.360 0.750
0.500 0.640 0.250
0.000 0.423 0.250
0.000 0.577 0.750
0.500 0.077 0.750
0.500 0.923 0.250
```

Main lines, in order of rising 2θ (2θ = 10–80°):
- d = 3.243 Å, intensity 26.1
- d = 2.867 Å, intensity 100.0
- d = 2.804 Å, intensity 42.2
- d = 2.731 Å, intensity 27.2
- d = 2.302 Å, intensity 50.2
- d = 2.199 Å, intensity 26.2
- d = 2.015 Å, intensity 20.1
- d = 1.636 Å, intensity 17.0

12.
Structure and calculated XRD peak list of DyGa3 (a crystal structure in the Materials Project, relaxed with PBE; copper Kα).
No peak broadening, texture or thermal motion is included.

Crystal structure
```
DyGa3
1.0
3.108 1.795 9.303
-3.108 1.795 9.303
0.000 -3.589 9.303
Dy Ga
4 12
direct
0.130 0.130 0.130
0.288 0.288 0.288
0.712 0.712 0.712
0.870 0.870 0.870
0.169 0.602 0.602
0.208 0.208 0.710
0.208 0.710 0.208
0.290 0.792 0.792
0.398 0.398 0.831
0.398 0.831 0.398
0.602 0.169 0.602
0.602 0.602 0.169
0.710 0.208 0.208
0.792 0.290 0.792
0.792 0.792 0.290
0.831 0.398 0.398
```

Main lines, in order of rising 2θ (2θ = 10–80°):
- d = 3.875 Å, intensity 20.4
- d = 3.204 Å, intensity 23.0
- d = 2.643 Å, intensity 40.2
- d = 2.425 Å, intensity 100.0
- d = 2.326 Å, intensity 44.9
- d = 2.231 Å, intensity 90.1
- d = 1.554 Å, intensity 35.9
- d = 1.292 Å, intensity 36.0